1.
# Eu3Mo
Computed powder diffraction line list, Cu Kα. Input: DFT lattice parameters and positions (GGA-PBE).

Largest 10 diffraction maxima, by angle, 15 to 90 degrees two-theta:
2θ 31.54, rel. 1000; 2θ 32.78, rel. 452; 2θ 43.30, rel. 104; 2θ 47.04, rel. 163; 2θ 55.36, rel. 200; 2θ 57.73, rel. 355; 2θ 65.84, rel. 119; 2θ 72.08, rel. 94; 2θ 77.56, rel. 76; 2θ 78.24, rel. 74

Structure:
Cell: 5.464 5.464 8.357 Å, 90.00 90.00 90.00°
Space group I4/mmm (No. 139)
Inequivalent atoms, fractional coordinates:
Eu 0.000 0.000 0.000 x2
Eu 0.000 0.500 0.250 x4
Mo 0.000 0.000 0.500 x2



2.
# Gd2CoSi2
Computed powder diffraction line list, Cu Kα. Input: DFT lattice parameters and positions (GGA-PBE).

Largest 10 diffraction maxima, by angle, 15 to 90 degrees two-theta:
2θ 23.54, rel. 803; 2θ 27.05, rel. 595; 2θ 33.60, rel. 817; 2θ 33.92, rel. 916; 2θ 34.41, rel. 860; 2θ 34.61, rel. 352; 2θ 34.97, rel. 1000; 2θ 37.33, rel. 516; 2θ 41.81, rel. 449; 2θ 43.68, rel. 574

Structure:
Cell: 10.589 4.144 10.014 Å, 90.00 119.52 90.00°
Space group C2/m (No. 12)
Inequivalent atoms, fractional coordinates:
Gd 0.002 0.000 0.173 x4
Gd 0.187 0.000 0.603 x4
Co 0.227 0.500 0.881 x4
Si 0.000 0.500 0.372 x4
Si 0.154 0.500 0.065 x4



3.
# ZnN
Computed powder diffraction line list, Cu Kα. Input: DFT lattice parameters and positions (GGA-PBE).

Largest 10 diffraction maxima, by angle, 15 to 90 degrees two-theta:
2θ 32.09, rel. 423; 2θ 33.17, rel. 359; 2θ 36.24, rel. 1000; 2θ 46.82, rel. 199; 2θ 57.20, rel. 284; 2θ 61.28, rel. 324; 2θ 67.11, rel. 42; 2θ 67.74, rel. 245; 2θ 69.62, rel. 170; 2θ 88.72, rel. 108

Structure:
Cell: 3.2212 3.2212 5.4010 Å, 90.00 90.00 120.00°
Space group P6_3mc (No. 186)
Inequivalent atoms, fractional coordinates:
Zn 0.3333 0.6667 0.0000 x2
N 0.3333 0.6667 0.6338 x2



4.
# YMg6BO8
Computed powder diffraction line list, Cu Kα. Input: DFT lattice parameters and positions (GGA-PBE).

Largest 10 diffraction maxima, by angle, 15 to 90 degrees two-theta:
2θ 22.58, rel. 478; 2θ 29.66, rel. 140; 2θ 30.55, rel. 318; 2θ 35.16, rel. 288; 2θ 39.90, rel. 499; 2θ 41.28, rel. 1000; 2θ 47.56, rel. 131; 2θ 58.76, rel. 548; 2θ 59.80, rel. 289; 2θ 74.33, rel. 245

Structure:
Cell: 4.374 4.374 9.037 Å, 90.00 90.00 90.00°
Space group P4/mmm (No. 123)
Inequivalent atoms, fractional coordinates:
Y 0.000 0.000 0.000 x1
Mg 0.000 0.500 0.275 x4
Mg 0.500 0.500 0.000 x1
Mg 0.500 0.500 0.500 x1
B 0.000 0.000 0.500 x1
O 0.000 0.000 0.245 x2
O 0.000 0.500 0.000 x2
O 0.000 0.500 0.500 x2
O 0.500 0.500 0.251 x2



5.
# Sc11Ir4
Computed powder diffraction line list, Cu Kα. Input: DFT lattice parameters and positions (GGA-PBE).

Largest 10 diffraction maxima, by angle, 15 to 90 degrees two-theta:
2θ 23.02, rel. 822; 2θ 26.64, rel. 328; 2θ 38.03, rel. 1000; 2θ 44.92, rel. 566; 2θ 54.87, rel. 136; 2θ 60.28, rel. 220; 2θ 62.02, rel. 165; 2θ 68.71, rel. 242; 2θ 73.54, rel. 200; 2θ 85.92, rel. 237

Structure:
Cell: 13.385 13.385 13.385 Å, 90.00 90.00 90.00°
Space group Fm-3m (No. 225)
Inequivalent atoms, fractional coordinates:
Sc 0.000 0.000 0.199 x24
Sc 0.117 0.117 0.383 x32
Sc 0.157 0.157 0.157 x32
Ir 0.000 0.000 0.000 x4
Ir 0.000 0.000 0.500 x4
Ir 0.000 0.250 0.250 x24



6.
# CaCl2
Computed powder diffraction line list, Cu Kα. Input: DFT lattice parameters and positions (GGA-PBE).

Largest 10 diffraction maxima, by angle, 15 to 90 degrees two-theta:
2θ 19.54, rel. 831; 2θ 28.92, rel. 1000; 2θ 30.89, rel. 338; 2θ 37.72, rel. 298; 2θ 38.11, rel. 579; 2θ 39.67, rel. 322; 2θ 42.99, rel. 244; 2θ 47.15, rel. 354; 2θ 48.12, rel. 180; 2θ 59.93, rel. 192

Structure:
Cell: 6.349 6.506 4.208 Å, 90.00 90.00 90.00°
Space group Pnnm (No. 58)
Inequivalent atoms, fractional coordinates:
Ca 0.000 0.000 0.000 x2
Cl 0.218 0.175 0.500 x4



7.
# GdSi2Au2
Computed powder diffraction line list, Cu Kα. Input: DFT lattice parameters and positions (GGA-PBE).

Largest 10 diffraction maxima, by angle, 15 to 90 degrees two-theta:
2θ 17.33, rel. 215; 2θ 33.55, rel. 116; 2θ 34.33, rel. 1000; 2θ 35.08, rel. 186; 2θ 42.06, rel. 338; 2θ 46.40, rel. 122; 2θ 55.89, rel. 200; 2θ 60.99, rel. 114; 2θ 62.45, rel. 160; 2θ 71.90, rel. 240

Structure:
Cell: 4.297 4.297 10.233 Å, 90.00 90.00 90.00°
Space group I4/mmm (No. 139)
Inequivalent atoms, fractional coordinates:
Gd 0.000 0.000 0.000 x2
Si 0.000 0.000 0.387 x4
Au 0.000 0.500 0.250 x4



8.
# Y4CoB13
Computed powder diffraction line list, Cu Kα. Input: DFT lattice parameters and positions (GGA-PBE).

Largest 10 diffraction maxima, by angle, 15 to 90 degrees two-theta:
2θ 24.30, rel. 224; 2θ 25.75, rel. 515; 2θ 27.23, rel. 836; 2θ 35.70, rel. 309; 2θ 37.82, rel. 1000; 2θ 38.88, rel. 246; 2θ 43.66, rel. 288; 2θ 47.22, rel. 363; 2θ 51.44, rel. 372; 2θ 58.40, rel. 319

Structure:
Cell: 7.324 7.324 6.920 Å, 90.00 90.00 90.00°
Space group P4/mnc (No. 128)
Inequivalent atoms, fractional coordinates:
Y 0.181 0.315 0.000 x8
Co 0.000 0.000 0.500 x2
B 0.000 0.000 0.000 x2
B 0.039 0.830 0.246 x16
B 0.091 0.591 0.250 x8